SrEuGa4: simulated powder diffractogram (Cu Kα (λ = 1.5418 Å)), based on a PBE-relaxed structure.

The 12 most intense peaks (2θ from 10° to 90°), by angle:
- hkl 1 1 1, 2θ = 18.89°, 4.699 Å, intensity 4
- hkl 2 0 0, 2θ = 21.84°, 4.069 Å, intensity 3
- hkl 2 2 0, 2θ = 31.08°, 2.877 Å, intensity 44
- hkl 3 1 1, 2θ = 36.62°, 2.454 Å, intensity 100
- hkl 2 2 2, 2θ = 38.31°, 2.349 Å, intensity 26
- hkl 4 2 0, 2θ = 50.13°, 1.820 Å, intensity 2
- hkl 4 2 2, 2θ = 55.30°, 1.661 Å, intensity 17
- hkl 3 3 3, 2θ = 58.97°, 1.566 Å, intensity 33
- hkl 4 4 0, 2θ = 64.81°, 1.439 Å, intensity 25
- hkl 6 2 0, 2θ = 73.61°, 1.287 Å, intensity 7
- hkl 5 3 3, 2θ = 76.81°, 1.241 Å, intensity 11
- hkl 6 2 2, 2θ = 77.86°, 1.227 Å, intensity 9

Structural model:
```
data_SrEuGa4
_chemical_formula_sum 'Sr4 Eu4 Ga16'
_space_group_name_H-M_alt 'F -4 3 m'
_space_group_IT_number 216
_space_group_name_Hall 'F -4 2 3'
_cell_length_a 8.1381
_cell_length_b 8.1381
_cell_length_c 8.1381
_cell_angle_alpha 90.00
_cell_angle_beta 90.00
_cell_angle_gamma 90.00
loop_
_atom_site_label
_atom_site_type_symbol
_atom_site_fract_x
_atom_site_fract_y
_atom_site_fract_z
Sr1 Sr 0.0000 0.0000 0.0000
Eu1 Eu 0.2500 0.2500 0.7500
Ga1 Ga 0.1246 0.1246 0.3754
```